# 1
Starting from DFT lattice parameters and positions (PBE), the PXRD pattern of NiH8C2S2N4Cl2 was simulated for Cu Kα.
Lines closer than 0.1° are merged.

Most intense lines, 2θ = 5–70°, sorted by position:
14.79°, I = 90; 15.74°, I = 29; 16.84°, I = 86; 17.48°, I = 70; 17.86°, I = 67; 19.74°, I = 40; 23.12°, I = 45; 26.35°, I = 47; 26.89°, I = 80; 29.97°, I = 100; 35.40°, I = 56; 35.83°, I = 28

```
NiH8C2S2N4Cl2
1.0
3.999 -5.632 0.000
3.999 5.632 0.000
-2.433 0.000 10.532
Ni H C S N Cl
2 16 4 4 8 4
Cartesian
2.783 3.703 5.266 Ni
3.999 -3.703 0.000 Ni
1.590 3.847 8.623 H
2.338 2.020 1.335 H
2.496 3.708 10.105 H
3.903 2.809 1.493 H
2.302 0.324 4.123 H
1.691 0.663 8.064 H
1.085 -0.324 9.389 H
2.908 -0.663 2.798 H
1.121 -2.020 6.601 H
3.534 0.517 6.064 H
4.750 -0.517 0.798 H
2.686 -2.809 6.759 H
2.806 -3.847 3.357 H
6.398 0.095 0.872 H
5.182 -0.095 6.138 H
3.713 -3.708 4.839 H
0.595 2.917 10.160 C
2.973 0.447 9.643 C
1.811 -2.917 4.894 C
4.190 -0.447 4.377 C
4.439 3.097 3.915 S
4.256 1.269 8.836 S
5.473 -1.269 3.570 S
3.222 -3.097 9.181 S
1.609 3.571 9.604 N
3.099 2.559 0.912 N
1.843 0.219 8.971 N
3.060 -0.219 3.705 N
1.883 -2.559 6.178 N
5.507 0.030 0.376 N
4.290 -0.030 5.642 N
2.826 -3.571 4.338 N
0.440 0.763 1.858 Cl
-0.777 -0.763 7.124 Cl
1.651 1.873 5.993 Cl
2.867 -1.873 0.727 Cl
```

---

# 2
Starting from DFT lattice parameters and positions (PBE), the PXRD pattern of NpH24C8N2Cl6 was simulated for Cu Kα.
Lines closer than 0.1° are merged.

Most intense lines, 2θ = 5–70°, sorted by position:
11.75°, I = 100; 13.57°, I = 24; 19.24°, I = 41; 22.60°, I = 44; 27.34°, I = 21; 30.64°, I = 25; 35.76°, I = 29; 39.05°, I = 13; 40.92°, I = 30; 41.53°, I = 13; 49.92°, I = 18; 53.98°, I = 13

```
NpH24C8N2Cl6
1.0
0.000 6.524 6.524
6.524 0.000 6.524
6.524 6.524 0.000
Np H C N Cl
1 24 8 2 6
Cartesian
0.000 0.000 0.000 Np
3.481 1.771 1.771 H
4.753 3.042 1.771 H
4.753 1.771 3.042 H
1.771 3.481 1.771 H
3.042 4.753 1.771 H
1.771 1.771 3.481 H
4.753 4.753 3.481 H
3.042 1.771 4.753 H
4.753 3.481 4.753 H
1.771 4.753 3.042 H
1.771 3.042 4.753 H
3.481 4.753 4.753 H
9.566 8.294 8.294 H
11.277 10.005 8.294 H
11.277 8.294 10.005 H
8.294 9.566 8.294 H
10.005 11.277 8.294 H
8.294 8.294 9.566 H
11.277 11.277 9.566 H
10.005 8.294 11.277 H
11.277 9.566 11.277 H
8.294 11.277 10.005 H
8.294 10.005 11.277 H
9.566 11.277 11.277 H
4.126 2.398 2.398 C
2.398 4.126 2.398 C
2.398 2.398 4.126 C
4.126 4.126 4.126 C
8.921 8.921 8.921 C
10.650 10.650 8.921 C
10.650 8.921 10.650 C
8.921 10.650 10.650 C
3.262 3.262 3.262 N
9.786 9.786 9.786 N
6.524 6.524 2.617 Cl
6.524 2.617 6.524 Cl
10.431 6.524 6.524 Cl
2.617 6.524 6.524 Cl
6.524 10.431 6.524 Cl
6.524 6.524 10.431 Cl
```

---

# 3
Starting from DFT lattice parameters and positions (PBE), the PXRD pattern of ZnH8C2N4Cl2O2 was simulated for Cu Kα.
Lines closer than 0.1° are merged.

Most intense lines, 2θ = 5–70°, sorted by position:
16.13°, I = 93; 16.30°, I = 46; 17.17°, I = 63; 17.90°, I = 71; 20.34°, I = 51; 25.39°, I = 100; 25.59°, I = 57; 26.37°, I = 52; 31.44°, I = 37; 32.86°, I = 34; 33.48°, I = 38; 35.32°, I = 33

```
ZnH8C2N4Cl2O2
1.0
6.076 0.000 0.000
2.459 6.109 0.000
2.273 -0.772 10.873
Zn H C N Cl O
2 16 4 8 4 4
Cartesian
1.099 0.739 2.797 Zn
9.710 4.597 8.076 Zn
3.523 1.734 7.822 H
4.325 2.109 9.998 H
4.185 4.285 4.643 H
3.615 2.620 4.502 H
6.223 4.498 10.352 H
4.471 0.550 6.953 H
4.896 4.000 1.130 H
6.888 4.439 8.750 H
3.921 0.897 2.123 H
5.913 1.337 9.743 H
6.338 4.787 3.920 H
4.586 0.838 0.521 H
7.194 2.717 6.371 H
6.624 1.051 6.231 H
6.484 3.228 0.875 H
7.286 3.603 3.051 H
2.786 1.804 0.696 C
5.333 2.407 7.103 C
5.475 2.930 3.770 C
8.023 3.533 10.177 C
4.327 3.328 4.329 N
4.326 1.523 7.232 N
5.115 1.551 10.343 N
7.036 4.342 9.753 N
3.772 0.995 1.120 N
5.694 3.785 0.530 N
6.482 3.813 3.641 N
6.482 2.009 6.544 N
2.869 5.063 1.666 Cl
2.543 0.508 4.504 Cl
8.266 4.829 6.370 Cl
7.940 0.274 9.207 Cl
1.777 2.068 1.457 O
5.240 3.623 7.500 O
5.569 1.713 3.373 O
9.032 3.269 9.416 O
```